Structure and computed PXRD pattern of Ta2Tl3H3S8 (a GGA-PBE-relaxed structure; Cu Kα (λ = 1.5418 Å)).

Principal peaks in the range 10° ≤ 2θ ≤ 90°, sorted by position:
2θ 16.22, 5.466 Å, I = 38
2θ 19.05, 4.660 Å, I = 26
2θ 19.97, 4.445 Å, I = 25
2θ 21.12, 4.207 Å, I = 97
2θ 25.20, 3.534 Å, I = 39
2θ 28.95, 3.084 Å, I = 100
2θ 30.68, 2.914 Å, I = 67
2θ 31.08, 2.877 Å, I = 33
2θ 34.80, 2.578 Å, I = 32
2θ 36.84, 2.440 Å, I = 28
2θ 45.03, 2.013 Å, I = 35
2θ 51.73, 1.767 Å, I = 29

Atomic structure:
Cell: 9.7541 9.7541 7.5309 Å, 91.97 91.97 34.09°
Atoms (fractional coordinates):
Ta: 0.1307 0.1307 0.1876
Ta: 0.8693 0.8693 0.8124
Tl: 0.2952 0.7048 0.5000
Tl: 0.6525 0.0404 0.3233
Tl: 0.9596 0.3475 0.6767
H: 0.2005 0.7995 0.0000
H: 0.3563 0.2799 0.8369
H: 0.7201 0.6437 0.1631
S: 0.0620 0.5901 0.5899
S: 0.1335 0.6958 0.0466
S: 0.3042 0.8665 0.9534
S: 0.4099 0.9380 0.4101
S: 0.5051 0.0546 0.8977
S: 0.7627 0.1587 0.7079
S: 0.8413 0.2373 0.2921
S: 0.9454 0.4949 0.1023